(1)
Theoretical X-ray diffraction stick pattern
Compound: SrMg6CrO8
Radiation: Cu Kα, 1.54184 Å
Structure: a cell relaxed with PBE+U
Kinematic intensities with the Lorentz-polarization factor, no thermal factor.

The 12 most intense peaks (2θ = 15–90°), low angle first:
2θ/deg	d_spacing	intensity	index
19.60	4.530	28	1 0 0
20.37	4.360	14	0 0 2
27.85	3.203	12	1 1 0
28.41	3.141	24	1 0 2
34.75	2.581	43	1 1 2
39.80	2.265	100	2 0 0
41.42	2.180	43	0 0 4
49.62	1.837	9	2 1 2
57.55	1.601	30	2 2 0
58.79	1.571	53	2 0 4
69.01	1.361	15	3 1 2
73.35	1.291	25	2 2 4

Atomic structure:
```
SrMg6CrO8
1.0
4.5296 0.0000 0.0000
0.0000 4.5296 0.0000
0.0000 0.0000 8.7206
Sr Mg Cr O
1 6 1 8
Direct
0.0000 0.0000 0.0000
0.0000 0.5000 0.2603
0.0000 0.5000 0.7397
0.5000 0.0000 0.2603
0.5000 0.0000 0.7397
0.5000 0.5000 0.0000
0.5000 0.5000 0.5000
0.0000 0.0000 0.5000
0.0000 0.0000 0.2705
0.0000 0.0000 0.7295
0.0000 0.5000 0.0000
0.0000 0.5000 0.5000
0.5000 0.0000 0.0000
0.5000 0.0000 0.5000
0.5000 0.5000 0.2519
0.5000 0.5000 0.7481
```

(2)
Theoretical X-ray diffraction stick pattern
Compound: MgVPbO3
Radiation: Cu Kα, 1.54184 Å
Structure: a cell relaxed with PBE+U
Kinematic intensities with the Lorentz-polarization factor, no thermal factor.

The 12 most intense peaks (2θ = 15–90°), low angle first:
2θ/deg	d_spacing	intensity	index
23.56	3.776	47	1 0 0
26.05	3.421	43	0 0 2
26.97	3.306	100	1 0 1
33.57	2.670	53	1 1 0
35.41	2.535	81	1 0 2
36.12	2.487	53	1 1 1
42.97	2.105	28	1 1 2
48.21	1.888	29	2 0 0
52.79	1.734	28	1 1 3
55.61	1.653	20	2 0 2
56.10	1.639	28	2 1 1
61.22	1.514	34	2 1 2

Atomic structure:
```
MgVPbO3
1.0
3.7755 0.0000 0.0000
0.0000 3.7755 0.0000
0.0000 0.0000 6.8416
Mg V Pb O
1 1 1 3
Direct
0.0000 0.0000 0.0000
0.5000 0.5000 0.7942
0.0000 0.0000 0.4681
0.0000 0.5000 0.9067
0.5000 0.0000 0.9067
0.5000 0.5000 0.5198
```

(3)
Theoretical X-ray diffraction stick pattern
Compound: BaZnCoF7
Radiation: Cu Kα, 1.54184 Å
Structure: a cell relaxed with PBE+U
Kinematic intensities with the Lorentz-polarization factor, no thermal factor.

The 12 most intense peaks (2θ = 15–90°), low angle first:
2θ/deg	d_spacing	intensity	index
25.18	3.536	100	1 2 -1
25.28	3.522	66	1 1 -2
25.75	3.460	48	0 2 2
26.51	3.362	96	1 1 2
29.30	3.049	41	0 1 3
31.11	2.875	40	1 3 0
31.60	2.832	40	2 0 0
40.34	2.236	44	2 2 -2
40.71	2.216	57	1 4 1
41.73	2.164	33	0 2 4
52.18	1.753	33	3 2 -1
54.45	1.685	31	1 2 5

Atomic structure:
```
BaZnCoF7
1.0
5.6717 0.0000 0.0000
0.0000 10.0119 0.0000
-0.5154 0.0000 9.6018
Ba Zn Co F
4 4 4 28
Direct
0.2358 0.1871 0.0001
0.2358 0.3129 0.5001
0.7642 0.6871 0.4999
0.7642 0.8129 0.9999
0.1982 0.6003 0.8095
0.1982 0.8997 0.3095
0.8018 0.1003 0.6905
0.8018 0.3997 0.1905
0.3050 0.6117 0.1899
0.3050 0.8883 0.6899
0.6950 0.1117 0.3101
0.6950 0.3883 0.8101
0.0217 0.7091 0.2491
0.0217 0.7909 0.7491
0.1163 0.5413 0.6200
0.1163 0.9587 0.1200
0.1359 0.0504 0.6289
0.1359 0.4496 0.1289
0.2423 0.6914 0.0084
0.2423 0.8086 0.5084
0.3859 0.5438 0.3640
0.3859 0.9562 0.8640
0.3886 0.0575 0.3793
0.3886 0.4425 0.8793
0.4794 0.7210 0.7497
0.4794 0.7790 0.2497
0.5206 0.2210 0.7503
0.5206 0.2790 0.2503
0.6114 0.5575 0.1207
0.6114 0.9425 0.6207
0.6141 0.0438 0.1360
0.6141 0.4562 0.6360
0.7577 0.1914 0.4916
0.7577 0.3086 0.9916
0.8641 0.5504 0.8711
0.8641 0.9496 0.3711
0.8837 0.0413 0.8800
0.8837 0.4587 0.3800
0.9783 0.2091 0.2509
0.9783 0.2909 0.7509
```

What is the formula in the second record?
MgVPbO3